(1)
# SrEuHfInO6
Calculated X-ray powder pattern, Cu Kα (weighted mean of Kα1 and Kα2). Input: a structure optimized by DFT (PBE).
Peak positions follow from Bragg's law for the DFT cell and can differ from measured ones.

The 10 most intense peaks (10° ≤ 2θ ≤ 90°), sorted by position:
(1 1 1), 2θ = 18.4°, I 7; (2 0 0), 2θ = 21.3°, I 4; (2 2 0), 2θ = 30.3°, I 100; (3 1 1), 2θ = 35.7°, I 4; (4 0 0), 2θ = 43.4°, I 29; (4 2 2), 2θ = 53.9°, I 40; (4 4 0), 2θ = 63.1°, I 18; (6 2 0), 2θ = 71.6°, I 18; (4 4 4), 2θ = 79.7°, I 6; (6 4 2), 2θ = 87.7°, I 22

Cell and atoms:
```
data_SrEuHfInO6
_chemical_formula_sum 'Sr4 Eu4 Hf4 In4 O24'
_space_group_name_H-M_alt 'F -4 3 m'
_space_group_IT_number 216
_space_group_name_Hall 'F -4 2 3'
_cell_length_a 8.3310
_cell_length_b 8.3310
_cell_length_c 8.3310
_cell_angle_alpha 90.00
_cell_angle_beta 90.00
_cell_angle_gamma 90.00
loop_
_atom_site_label
_atom_site_type_symbol
_atom_site_fract_x
_atom_site_fract_y
_atom_site_fract_z
Sr1 Sr 0.0000 0.0000 0.0000
Eu1 Eu 0.0000 0.0000 0.5000
Hf1 Hf 0.2500 0.2500 0.2500
In1 In 0.2500 0.2500 0.7500
O1 O 0.0044 0.2500 0.2500
```

---

(2)
# Th4PRuSe2
Calculated X-ray powder pattern, Cu Kα (weighted mean of Kα1 and Kα2). Input: a structure optimized by DFT (PBE).
Peak positions follow from Bragg's law for the DFT cell and can differ from measured ones.

The 10 most intense peaks (10° ≤ 2θ ≤ 90°), sorted by position:
(0 0 2), 2θ = 25.3°, I 19; (2 0 0), 2θ = 25.6°, I 19; (1 1 -1), 2θ = 26.5°, I 36; (2 0 -2), 2θ = 29.9°, I 53; (1 1 1), 2θ = 30.2°, I 100; (2 0 2), 2θ = 41.9°, I 18; (1 1 -3), 2θ = 42.8°, I 36; (3 1 -1), 2θ = 43.2°, I 39; (0 2 0), 2θ = 44.5°, I 19; (2 2 -2), 2θ = 54.5°, I 23

Cell and atoms:
```
data_Th4PRuSe2
_chemical_formula_sum 'Th4 P1 Ru1 Se2'
_space_group_name_H-M_alt 'P 1 2/m 1'
_space_group_IT_number 10
_cell_length_a 7.3347
_cell_length_b 4.0727
_cell_length_c 7.4154
_cell_angle_alpha 90.00
_cell_angle_beta 108.42
_cell_angle_gamma 90.00
loop_
_space_group_symop_operation_xyz
'x,y,z'
'-x,-y,-z'
'-x,y,-z'
'x,-y,z'
loop_
_atom_site_label
_atom_site_type_symbol
_atom_site_fract_x
_atom_site_fract_y
_atom_site_fract_z
Th1 Th 0.2314 0.0000 0.2218
Th2 Th 0.2569 0.5000 0.7708
P1 P 0.5000 0.0000 0.0000
Ru1 Ru 0.0000 0.5000 0.0000
Se1 Se 0.0000 0.0000 0.5000
Se2 Se 0.5000 0.5000 0.5000
```

---

Question: What is the formula in the first record?
Answer: SrEuHfInO6